# BaNaBiWO6
Computed PXRD pattern, CuKα. Input: the PBE+U geometry in the Materials Project.

Structural model:
```
data_BaNaBiWO6
_symmetry_space_group_name_H-M 'P n n n'
_symmetry_Int_Tables_number 48
_cell_length_a 8.4324
_cell_length_b 8.5017
_cell_length_c 8.5018
_cell_angle_alpha 90.00
_cell_angle_beta 90.00
_cell_angle_gamma 90.00
loop_
_symmetry_equiv_pos_as_xyz
'x,y,z'
'-x,-y,-z'
'-x+1/2,-y+1/2,z'
'x+1/2,y+1/2,-z'
'x,-y+1/2,-z+1/2'
'-x,y+1/2,z+1/2'
'-x+1/2,y,-z+1/2'
'x+1/2,-y,z+1/2'
loop_
_atom_site_label
_atom_site_type_symbol
_atom_site_fract_x
_atom_site_fract_y
_atom_site_fract_z
_atom_site_occupancy
Ba1 Ba 0.2500 0.2500 0.2500 1
Ba2 Ba 0.2500 0.2500 0.7500 1
Na1 Na 0.2500 0.7500 0.2500 1
Na2 Na 0.2500 0.7500 0.7500 1
Bi1 Bi 0.0000 0.0000 0.0000 1
W1 W 0.0000 0.0000 0.5000 1
O1 O 0.0352 0.2270 0.4816 1
O2 O 0.0493 0.5281 0.2250 1
O3 O 0.2246 0.5237 0.9470 1
```

Top 8 peaks for 2θ = 15–90°, most intense first:
2theta, d [Å], Rel. int., (hkl)
29.8, 2.993, 100.0, 2 0 2
29.7, 3.006, 48.8, 0 2 2
52.8, 1.733, 43.8, 2 2 4
20.9, 4.251, 30.5, 0 2 0
42.5, 2.125, 27.2, 0 4 0
53.1, 1.726, 22.0, 4 2 2
70.0, 1.344, 18.9, 2 0 6
62.0, 1.497, 15.9, 4 4 0

=====

# BaNaBiWO6
Computed PXRD pattern, CuKα. Input: the PBE+U geometry in the Materials Project.

Structural model:
```
data_BaNaBiWO6
_symmetry_space_group_name_H-M 'F -4 3 m'
_symmetry_Int_Tables_number 216
_symmetry_space_group_name_Hall 'F -4 2 3'
_cell_length_a 8.5652
_cell_length_b 8.5652
_cell_length_c 8.5652
_cell_angle_alpha 90.00
_cell_angle_beta 90.00
_cell_angle_gamma 90.00
loop_
_atom_site_label
_atom_site_type_symbol
_atom_site_fract_x
_atom_site_fract_y
_atom_site_fract_z
_atom_site_occupancy
Ba1 Ba 0.0000 0.0000 0.0000 1
Na1 Na 0.0000 0.0000 0.5000 1
Bi1 Bi 0.2500 0.2500 0.7500 1
W1 W 0.2500 0.2500 0.2500 1
O1 O 0.0220 0.2500 0.2500 1
```

Top 8 peaks for 2θ = 15–90°, most intense first:
2theta, d [Å], Rel. int., (hkl)
29.5, 3.028, 100.0, 2 2 0
52.3, 1.748, 41.3, 4 2 2
20.7, 4.283, 32.0, 2 0 0
42.2, 2.141, 29.2, 4 0 0
84.7, 1.145, 22.6, 6 4 2
69.4, 1.354, 19.0, 6 2 0
61.2, 1.514, 18.5, 4 4 0
47.5, 1.915, 14.4, 4 2 0

=====

# BaSrVBiO6
Computed PXRD pattern, CuKα. Input: the PBE+U geometry in the Materials Project.

Structural model:
```
data_BaSrVBiO6
_symmetry_space_group_name_H-M 'F -4 3 m'
_symmetry_Int_Tables_number 216
_symmetry_space_group_name_Hall 'F -4 2 3'
_cell_length_a 8.4309
_cell_length_b 8.4309
_cell_length_c 8.4309
_cell_angle_alpha 90.00
_cell_angle_beta 90.00
_cell_angle_gamma 90.00
loop_
_atom_site_label
_atom_site_type_symbol
_atom_site_fract_x
_atom_site_fract_y
_atom_site_fract_z
_atom_site_occupancy
Ba1 Ba 0.0000 0.0000 0.0000 1
Sr1 Sr 0.0000 0.0000 0.5000 1
V1 V 0.2500 0.2500 0.7500 1
Bi1 Bi 0.2500 0.2500 0.2500 1
O1 O 0.0234 0.2500 0.7500 1
```

Top 8 peaks for 2θ = 15–90°, most intense first:
2theta, d [Å], Rel. int., (hkl)
30.0, 2.981, 100.0, 2 2 0
53.2, 1.721, 40.0, 4 2 2
42.9, 2.108, 30.3, 4 0 0
86.4, 1.127, 22.3, 6 4 2
18.2, 4.868, 22.2, 1 1 1
62.3, 1.490, 18.7, 4 4 0
70.7, 1.333, 18.6, 6 2 0
35.3, 2.542, 18.2, 3 1 1

=====

What did the first record say?
# BaNaBiWO6
Computed PXRD pattern, CuKα. Input: the PBE+U geometry in the Materials Project.

Structural model:
```
data_BaNaBiWO6
_symmetry_space_group_name_H-M 'P n n n'
_symmetry_Int_Tables_number 48
_cell_length_a 8.4324
_cell_length_b 8.5017
_cell_length_c 8.5018
_cell_angle_alpha 90.00
_cell_angle_beta 90.00
_cell_angle_gamma 90.00
loop_
_symmetry_equiv_pos_as_xyz
'x,y,z'
'-x,-y,-z'
'-x+1/2,-y+1/2,z'
'x+1/2,y+1/2,-z'
'x,-y+1/2,-z+1/2'
'-x,y+1/2,z+1/2'
'-x+1/2,y,-z+1/2'
'x+1/2,-y,z+1/2'
loop_
_atom_site_label
_atom_site_type_symbol
_atom_site_fract_x
_atom_site_fract_y
_atom_site_fract_z
_atom_site_occupancy
Ba1 Ba 0.2500 0.2500 0.2500 1
Ba2 Ba 0.2500 0.2500 0.7500 1
Na1 Na 0.2500 0.7500 0.2500 1
Na2 Na 0.2500 0.7500 0.7500 1
Bi1 Bi 0.0000 0.0000 0.0000 1
W1 W 0.0000 0.0000 0.5000 1
O1 O 0.0352 0.2270 0.4816 1
O2 O 0.0493 0.5281 0.2250 1
O3 O 0.2246 0.5237 0.9470 1
```

Top 8 peaks for 2θ = 15–90°, most intense first:
2theta, d [Å], Rel. int., (hkl)
29.8, 2.993, 100.0, 2 0 2
29.7, 3.006, 48.8, 0 2 2
52.8, 1.733, 43.8, 2 2 4
20.9, 4.251, 30.5, 0 2 0
42.5, 2.125, 27.2, 0 4 0
53.1, 1.726, 22.0, 4 2 2
70.0, 1.344, 18.9, 2 0 6
62.0, 1.497, 15.9, 4 4 0